Theoretical XRD peak list of Sr4SnPb for Cu Kα, from a GGA-PBE-relaxed structure.

Most intense lines, 15° ≤ 2θ ≤ 90°, most intense first:
2θ = 31.91°, 2.804 Å, rel. 100; 2θ = 24.38°, 3.651 Å, rel. 63; 2θ = 31.75°, 2.818 Å, rel. 38; 2θ = 37.40°, 2.405 Å, rel. 34; 2θ = 37.54°, 2.396 Å, rel. 31; 2θ = 22.36°, 3.975 Å, rel. 29; 2θ = 19.24°, 4.613 Å, rel. 24; 2θ = 19.37°, 4.583 Å, rel. 21; 2θ = 56.87°, 1.619 Å, rel. 19; 2θ = 40.57°, 2.224 Å, rel. 16

Structure:
```
6
Lattice="4.8529 -2.8066 0.0000 4.8529 2.8066 0.0000 -3.2173 0.0000 9.2261" Properties=species:S:1:pos:R:3 pbc="T T T"
Sr 0.0062 0.0000 3.4262
Sr 0.0193 0.0000 8.0581
Sr 6.4692 0.0000 1.1679
Sr 6.4822 0.0000 5.7999
Sn 0.0000 0.0000 0.0000
Pb 3.2442 0.0000 4.6130
```